Structure and simulated PXRD pattern of Tb2Dy5Sc3 (a cell relaxed with PBE; CuKα).
Peak positions follow from Bragg's law for the DFT cell and can differ from measured ones.

Crystal structure
```
20
Lattice="5.2382 -7.7736 0.0000 5.2382 7.7736 0.0000 -5.2093 0.0000 7.4592" Properties=species:S:1:pos:R:3 pbc="T T T"
Tb 1.3934 2.0704 0.3575
Tb -1.2112 -2.0704 4.0871
Tb 6.4784 2.0704 3.3721
Tb 3.8738 -2.0704 7.1017
Dy 1.3313 7.4547 5.5944
Dy -1.2646 2.1955 5.4266
Dy 1.3313 4.3786 5.5944
Dy 1.3400 -2.1955 1.6970
Dy 3.9359 0.2717 1.8648
Dy 1.3313 -0.2717 5.5944
Dy 3.9272 2.1955 5.7622
Dy 3.9359 -4.3786 1.8648
Dy 6.5318 -2.1955 2.0326
Dy 3.9359 -7.4547 1.8648
Sc 1.4154 2.0948 3.3732
Sc 3.9359 3.3995 1.8648
Sc -1.1893 -2.0948 7.1029
Sc 6.4564 2.0948 0.3564
Sc 1.3313 -3.3995 5.5944
Sc 3.8518 -2.0948 4.0860
```

Principal peaks in the range 2θ from 15° to 90°, low angle first:
| 2θ (°) | intensity |
| --- | --- |
| 20.6 | 15 |
| 23.9 | 17 |
| 31.1 | 100 |
| 31.6 | 41 |
| 31.7 | 47 |
| 33.3 | 13 |
| 34.2 | 43 |
| 36.7 | 14 |
| 50.9 | 16 |
| 59.3 | 16 |